Entry 1:
BaSrNdMnO6: simulated powder diffraction line list (CuKα), based on a structure optimized by DFT (GGA+U).
Kinematic intensities with the Lorentz-polarization factor, no thermal factor.

Structural model:
Cell: 5.946 5.958 8.422 Å, 90.17 90.10 90.26°
Sites, in units of the cell vectors:
Ba1 0.011 0.002 0.250
Ba2 0.989 0.998 0.750
Sr1 0.488 0.502 0.749
Sr2 0.512 0.498 0.251
Nd1 0.000 0.500 0.000
Nd2 0.500 0.000 0.500
Mn1 0.000 0.500 0.500
Mn2 0.500 0.000 0.000
O1 0.006 0.459 0.727
O2 0.209 0.745 0.522
O3 0.253 0.299 0.477
O4 0.254 0.793 0.977
O5 0.297 0.252 0.024
O6 0.496 0.951 0.227
O7 0.504 0.049 0.773
O8 0.703 0.748 0.976
O9 0.746 0.207 0.023
O10 0.747 0.701 0.523
O11 0.791 0.255 0.478
O12 0.994 0.541 0.273

Main lines, low angle first (15° ≤ 2θ ≤ 90°):
2θ (°), I/Imax, index
18.25, 9, 1 0 -1
30.01, 100, 2 0 0
30.11, 20, 1 1 2
42.92, 25, 0 0 4
43.08, 12, 2 2 0
53.21, 13, 0 2 -4
53.31, 27, 2 0 4
62.33, 14, 2 -2 4
70.65, 9, 1 1 -6
86.42, 9, 2 4 -4

=====

Entry 2:
Na2MnP5O15: simulated powder diffraction line list (CuKα), based on a structure optimized by DFT (GGA+U).
Kinematic intensities with the Lorentz-polarization factor, no thermal factor.

Structural model:
Cell: 5.298 13.743 8.916 Å, 90.00 103.12 90.00°
Sites, in units of the cell vectors:
Na1 0.075 0.110 0.128
Na2 0.075 0.390 0.128
Na3 0.925 0.610 0.872
Na4 0.925 0.890 0.872
Mn1 0.500 0.000 0.500
Mn2 0.500 0.500 0.500
P1 0.017 0.640 0.487
P2 0.017 0.860 0.487
P3 0.345 0.079 0.808
P4 0.345 0.421 0.808
P5 0.459 0.750 0.996
P6 0.541 0.250 0.004
P7 0.655 0.579 0.192
P8 0.655 0.921 0.192
P9 0.983 0.140 0.513
P10 0.983 0.360 0.513
O1 0.003 0.250 0.459
O2 0.122 0.079 0.418
O3 0.122 0.421 0.418
O4 0.137 0.145 0.689
O5 0.137 0.355 0.689
O6 0.206 0.750 0.882
O7 0.213 0.031 0.918
O8 0.213 0.469 0.918
O9 0.288 0.250 0.050
O10 0.301 0.621 0.493
O11 0.301 0.879 0.493
O12 0.447 0.659 0.115
O13 0.447 0.841 0.115
O14 0.487 0.013 0.716
O15 0.487 0.487 0.716
O16 0.513 0.513 0.284
O17 0.513 0.987 0.284
O18 0.553 0.159 0.885
O19 0.553 0.341 0.885
O20 0.699 0.121 0.507
O21 0.699 0.379 0.507
O22 0.712 0.750 0.950
O23 0.787 0.531 0.082
O24 0.787 0.969 0.082
O25 0.794 0.250 0.118
O26 0.863 0.645 0.311
O27 0.863 0.855 0.311
O28 0.878 0.579 0.582
O29 0.878 0.921 0.582
O30 0.997 0.750 0.541

Main lines, low angle first (15° ≤ 2θ ≤ 90°):
2θ (°), I/Imax, index
16.45, 70, 0 2 1
17.89, 92, 1 0 -1
20.45, 84, 0 0 2
22.11, 64, 1 2 -1
24.48, 62, 1 1 -2
25.53, 100, 1 2 1
26.01, 44, 1 3 0
29.44, 41, 1 3 1
30.89, 45, 0 0 3
31.28, 74, 1 4 0

=====

Entry 3:
Li4V5Cu3O16: simulated powder diffraction line list (CuKα), based on a structure optimized by DFT (GGA+U).
Kinematic intensities with the Lorentz-polarization factor, no thermal factor.

Structural model:
Cell: 5.863 5.896 9.700 Å, 87.27 89.99 60.23°
Sites, in units of the cell vectors:
Li1 0.000 0.000 0.000
Li2 0.001 0.997 0.491
Li3 0.339 0.322 0.069
Li4 0.658 0.682 0.570
V1 0.147 0.202 0.757
V2 0.338 0.324 0.482
V3 0.640 0.720 0.993
V4 0.651 0.201 0.758
V5 0.817 0.366 0.240
Cu1 0.170 0.662 0.777
Cu2 0.336 0.837 0.284
Cu3 0.826 0.838 0.284
O1 0.000 0.001 0.682
O2 0.029 0.469 0.634
O3 0.168 0.189 0.398
O4 0.176 0.649 0.408
O5 0.341 0.316 0.873
O6 0.342 0.841 0.897
O7 0.477 0.044 0.645
O8 0.503 0.467 0.634
O9 0.526 0.947 0.123
O10 0.542 0.484 0.126
O11 0.644 0.188 0.398
O12 0.685 0.629 0.366
O13 0.815 0.842 0.896
O14 0.839 0.323 0.876
O15 0.973 0.485 0.126
O16 0.990 0.021 0.197

Main lines, low angle first (15° ≤ 2θ ≤ 90°):
2θ (°), I/Imax, index
18.32, 100, 0 0 2
19.49, 49, 1 0 -1
19.94, 55, 1 1 -1
20.09, 32, 0 1 -1
25.04, 35, 1 1 2
35.83, 35, 0 2 1
36.28, 31, 2 2 1
36.81, 52, 2 2 -1
44.76, 35, 2 2 3
63.13, 42, 2 4 0